1.
# Tb5Y5Bi6
Theoretical powder diffractogram, Cu Kα. Input: a crystal structure in Alexandria, relaxed with GGA-PBE.

Structural model:
a b c (Å): 6.401 9.219 9.219
angles (deg): 120.05 90.00 90.00
Sites, in units of the cell vectors:
Tb: 0.000 0.000 0.000
Tb: 0.250 0.578 0.911
Tb: 0.250 0.911 0.578
Tb: 0.750 0.578 0.911
Tb: 0.750 0.911 0.578
Y: 0.000 0.244 0.489
Y: 0.000 0.489 0.244
Y: 0.500 0.000 0.244
Y: 0.500 0.244 0.000
Y: 0.500 0.488 0.488
Bi: 0.000 0.245 0.856
Bi: 0.000 0.632 0.632
Bi: 0.000 0.856 0.245
Bi: 0.500 0.244 0.633
Bi: 0.500 0.633 0.244
Bi: 0.500 0.856 0.856

Most intense lines, 2θ from 10° to 90°, by angle:
2θ/deg, intensity
11.1, 354
23.8, 376
29.6, 249
32.8, 978
33.7, 715
34.1, 1000
43.2, 297
48.7, 229
52.5, 307
65.3, 258


2.
# NdAlZn2Au5
Theoretical powder diffractogram, Cu Kα. Input: a crystal structure in Alexandria, relaxed with GGA-PBE.

Structural model:
a b c (Å): 7.796 7.796 7.796
angles (deg): 144.33 135.36 58.40
Sites, in units of the cell vectors:
Nd: 0.000 0.000 0.000
Al: 0.500 0.500 0.000
Zn: 0.312 0.812 0.500
Zn: 0.688 0.188 0.500
Au: 0.087 0.349 0.738
Au: 0.390 0.651 0.738
Au: 0.500 0.000 0.500
Au: 0.610 0.349 0.262
Au: 0.913 0.651 0.262

Most intense lines, 2θ from 10° to 90°, by angle:
2θ/deg, intensity
27.1, 1000
33.0, 187
36.3, 748
37.7, 410
39.7, 267
40.4, 390
41.0, 246
55.9, 198
56.4, 296
60.1, 251


3.
# LiMnPS4
Theoretical powder diffractogram, Cu Kα. Input: a crystal structure in Alexandria, relaxed with GGA-PBE.

Structural model:
a b c (Å): 7.216 7.216 7.216
angles (deg): 123.70 112.35 93.73
Sites, in units of the cell vectors:
Li: 0.000 0.000 0.000
Li: 0.500 0.000 0.500
Mn: 0.500 0.000 0.000
Mn: 0.500 0.500 0.500
P: 0.137 0.387 0.750
P: 0.863 0.613 0.250
S: 0.256 0.258 0.502
S: 0.256 0.754 0.998
S: 0.298 0.245 0.053
S: 0.309 0.755 0.553
S: 0.691 0.245 0.447
S: 0.702 0.755 0.947
S: 0.744 0.246 0.002
S: 0.744 0.742 0.498

Most intense lines, 2θ from 10° to 90°, by angle:
2θ/deg, intensity
14.2, 1000
22.1, 458
28.7, 198
29.3, 436
29.9, 283
34.5, 646
36.4, 330
44.0, 500
45.1, 192
51.1, 737


4.
# Ac7Nd4Ho
Theoretical powder diffractogram, Cu Kα. Input: a crystal structure in Alexandria, relaxed with GGA-PBE.

Structural model:
a b c (Å): 6.719 7.714 9.641
angles (deg): 89.63 76.67 89.92
Sites, in units of the cell vectors:
Ac: 0.000 0.000 0.000
Ac: 0.219 0.500 0.332
Ac: 0.281 0.754 0.665
Ac: 0.496 0.250 0.996
Ac: 0.504 0.750 0.004
Ac: 0.719 0.246 0.335
Ac: 0.781 0.500 0.668
Nd: 0.221 0.001 0.335
Nd: 0.274 0.250 0.670
Nd: 0.726 0.750 0.330
Nd: 0.779 0.999 0.665
Ho: 0.000 0.500 0.000

Most intense lines, 2θ from 10° to 90°, by angle:
2θ/deg, intensity
26.8, 395
28.5, 741
29.5, 1000
29.6, 491
31.0, 444
31.0, 423
31.2, 424
46.9, 388
55.7, 236
55.9, 233


5.
# Pu4Hg2Au
Theoretical powder diffractogram, Cu Kα. Input: a crystal structure in Alexandria, relaxed with GGA-PBE.

Structural model:
a b c (Å): 4.623 4.623 17.463
angles (deg): 90.00 90.00 90.00
Sites, in units of the cell vectors:
Pu: 0.000 0.500 0.116
Pu: 0.000 0.500 0.384
Pu: 0.000 0.500 0.616
Pu: 0.000 0.500 0.884
Pu: 0.500 0.000 0.116
Pu: 0.500 0.000 0.384
Pu: 0.500 0.000 0.616
Pu: 0.500 0.000 0.884
Hg: 0.000 0.000 0.247
Hg: 0.000 0.000 0.753
Hg: 0.500 0.500 0.253
Hg: 0.500 0.500 0.747
Au: 0.000 0.000 0.500
Au: 0.500 0.500 0.000

Most intense lines, 2θ from 10° to 90°, by angle:
2θ/deg, intensity
19.9, 61
29.2, 65
34.3, 1000
39.0, 368
41.4, 136
56.3, 129
58.1, 204
67.6, 292
70.9, 95
72.2, 109


6.
# La2I5
Theoretical powder diffractogram, Cu Kα. Input: a crystal structure in Alexandria, relaxed with GGA-PBE.

Structural model:
a b c (Å): 9.328 4.391 15.038
angles (deg): 90.00 93.62 90.00
Sites, in units of the cell vectors:
La: 0.083 0.250 0.157
La: 0.402 0.750 0.349
La: 0.598 0.250 0.651
La: 0.917 0.750 0.843
I: 0.140 0.250 0.782
I: 0.151 0.250 0.375
I: 0.185 0.750 0.013
I: 0.361 0.750 0.571
I: 0.437 0.250 0.190
I: 0.563 0.750 0.810
I: 0.639 0.250 0.429
I: 0.815 0.250 0.987
I: 0.849 0.750 0.625
I: 0.860 0.750 0.218

Most intense lines, 2θ from 10° to 90°, by angle:
2θ/deg, intensity
10.9, 1000
25.7, 618
27.0, 597
27.9, 514
28.3, 825
29.8, 570
29.9, 364
31.4, 293
37.8, 281
41.1, 391


7.
# La2Al4SnPd3
Theoretical powder diffractogram, Cu Kα. Input: a crystal structure in Alexandria, relaxed with GGA-PBE.

Structural model:
a b c (Å): 4.398 4.398 10.763
angles (deg): 90.00 90.00 90.00
Sites, in units of the cell vectors:
La: 0.000 0.500 0.241
La: 0.500 0.000 0.759
Al: 0.000 0.000 0.000
Al: 0.000 0.500 0.649
Al: 0.500 0.000 0.351
Al: 0.500 0.500 0.000
Sn: 0.000 0.000 0.500
Pd: 0.000 0.500 0.879
Pd: 0.500 0.000 0.121
Pd: 0.500 0.500 0.500

Most intense lines, 2θ from 10° to 90°, by angle:
2θ/deg, intensity
29.9, 390
32.2, 657
33.3, 1000
41.0, 568
47.0, 243
53.1, 315
59.5, 345
64.1, 185
69.9, 297
89.1, 169


8.
# Li2SnHgF8
Theoretical powder diffractogram, Cu Kα. Input: a crystal structure in Alexandria, relaxed with GGA-PBE.

Structural model:
a b c (Å): 4.777 4.777 7.125
angles (deg): 90.26 90.26 89.76
Sites, in units of the cell vectors:
Li: 0.002 0.002 0.241
Li: 0.998 0.998 0.759
Sn: 0.500 0.500 0.500
Hg: 0.500 0.500 0.000
F: 0.188 0.188 0.000
F: 0.207 0.207 0.498
F: 0.293 0.707 0.294
F: 0.293 0.707 0.706
F: 0.707 0.293 0.294
F: 0.707 0.293 0.706
F: 0.793 0.793 0.502
F: 0.812 0.812 0.000

Most intense lines, 2θ from 10° to 90°, by angle:
2θ/deg, intensity
18.6, 1000
25.0, 280
26.3, 289
26.4, 276
31.3, 254
31.4, 249
36.7, 436
42.2, 212
49.6, 121
49.8, 333


9.
# Y2Al9Au3
Theoretical powder diffractogram, Cu Kα. Input: a crystal structure in Alexandria, relaxed with GGA-PBE.

Structural model:
a b c (Å): 8.063 8.063 11.508
angles (deg): 118.19 118.19 55.12
Sites, in units of the cell vectors:
Y: 0.107 0.259 0.229
Y: 0.259 0.107 0.729
Y: 0.741 0.893 0.271
Y: 0.893 0.741 0.771
Al: 0.009 0.112 0.887
Al: 0.112 0.009 0.387
Al: 0.185 0.383 0.574
Al: 0.242 0.575 0.255
Al: 0.303 0.500 0.956
Al: 0.306 0.694 0.750
Al: 0.383 0.185 0.074
Al: 0.425 0.758 0.245
Al: 0.500 0.303 0.456
Al: 0.500 0.697 0.544
Al: 0.575 0.242 0.755
Al: 0.617 0.815 0.926
Al: 0.694 0.306 0.250
Al: 0.697 0.500 0.044
Al: 0.758 0.425 0.745
Al: 0.815 0.617 0.426
Al: 0.888 0.991 0.613
Al: 0.991 0.888 0.113
Au: 0.000 0.500 0.000
Au: 0.158 0.661 0.477
Au: 0.339 0.842 0.023
Au: 0.500 0.000 0.500
Au: 0.661 0.158 0.977
Au: 0.842 0.339 0.523

Most intense lines, 2θ from 10° to 90°, by angle:
2θ/deg, intensity
18.2, 543
22.3, 931
23.9, 376
27.2, 855
30.2, 730
30.6, 667
36.9, 331
38.1, 385
41.0, 1000
47.2, 225


10.
# ThSc2NbO8
Theoretical powder diffractogram, Cu Kα. Input: a crystal structure in Alexandria, relaxed with GGA-PBE.

Structural model:
a b c (Å): 4.878 4.878 6.803
angles (deg): 90.00 90.00 90.39
Sites, in units of the cell vectors:
Th: 0.000 0.000 0.000
Sc: 0.500 0.500 0.267
Sc: 0.500 0.500 0.733
Nb: 0.000 0.000 0.500
O: 0.194 0.806 0.280
O: 0.194 0.806 0.720
O: 0.296 0.296 0.500
O: 0.324 0.324 0.000
O: 0.676 0.676 0.000
O: 0.704 0.704 0.500
O: 0.806 0.194 0.280
O: 0.806 0.194 0.720

Most intense lines, 2θ from 10° to 90°, by angle:
2θ/deg, intensity
18.2, 762
22.4, 286
25.7, 619
25.9, 618
32.1, 1000
36.9, 256
37.1, 311
49.5, 422
49.7, 429
63.4, 259


11.
# CePr4Se5
Theoretical powder diffractogram, Cu Kα. Input: a crystal structure in Alexandria, relaxed with GGA-PBE.

Structural model:
a b c (Å): 15.354 15.354 15.354
angles (deg): 164.08 164.08 22.59
Sites, in units of the cell vectors:
Ce: 0.000 0.000 0.000
Pr: 0.197 0.197 0.000
Pr: 0.399 0.399 0.000
Pr: 0.601 0.601 0.000
Pr: 0.803 0.803 0.000
Se: 0.098 0.098 0.000
Se: 0.298 0.298 0.000
Se: 0.500 0.500 0.000
Se: 0.702 0.702 0.000
Se: 0.902 0.902 0.000

Most intense lines, 2θ from 10° to 90°, by angle:
2θ/deg, intensity
25.6, 147
29.7, 1000
42.5, 745
50.3, 72
52.7, 262
61.6, 39
61.7, 82
67.9, 29
69.9, 332
77.8, 246


12.
# Tl3SnBr8
Theoretical powder diffractogram, Cu Kα. Input: a crystal structure in Alexandria, relaxed with GGA-PBE.

Structural model:
a b c (Å): 10.052 10.052 10.546
angles (deg): 90.00 90.00 120.00
Sites, in units of the cell vectors:
Tl: 0.170 0.339 0.000
Tl: 0.170 0.830 0.000
Tl: 0.339 0.170 0.500
Tl: 0.661 0.830 0.000
Tl: 0.830 0.170 0.500
Tl: 0.830 0.661 0.500
Sn: 0.333 0.667 0.373
Sn: 0.667 0.333 0.873
Br: 0.000 0.000 0.380
Br: 0.000 0.000 0.880
Br: 0.082 0.541 0.235
Br: 0.210 0.419 0.524
Br: 0.210 0.790 0.524
Br: 0.333 0.667 0.885
Br: 0.419 0.210 0.024
Br: 0.459 0.541 0.235
Br: 0.459 0.918 0.235
Br: 0.541 0.082 0.735
Br: 0.541 0.459 0.735
Br: 0.581 0.790 0.524
Br: 0.667 0.333 0.385
Br: 0.790 0.210 0.024
Br: 0.790 0.581 0.024
Br: 0.918 0.459 0.735

Most intense lines, 2θ from 10° to 90°, by angle:
2θ/deg, intensity
16.8, 573
22.1, 702
24.5, 456
26.6, 1000
32.0, 546
35.7, 752
38.6, 328
39.7, 430
46.5, 310
56.6, 283